For Li2Ni3WO8, DFT lattice parameters and positions (PBE+U) gives the calculated powder diffractogram in this record (λ = 1.5418 Å (Cu Kα)).
Neutral-atom scattering factors, no anomalous dispersion.

Cell: 5.922 5.930 5.975 Å, 60.72 60.85 60.28°
Space group P1 (No. 1)
Unique sites:
Li  0.000  0.000  0.000 x1
Li  0.264  0.264  0.215 x1
Ni  0.133  0.633  0.607 x1
Ni  0.631  0.132  0.608 x1
Ni  0.631  0.634  0.607 x1
W  0.633  0.631  0.108 x1
O  0.402  0.401  0.346 x1
O  0.402  0.858  0.346 x1
O  0.406  0.861  0.869 x1
O  0.408  0.409  0.794 x1
O  0.857  0.856  0.420 x1
O  0.858  0.403  0.347 x1
O  0.861  0.407  0.869 x1
O  0.862  0.863  0.869 x1

Largest 6 diffraction maxima, sorted by position, 5 to 70 degrees two-theta:
2theta  I/Imax  index
18.22  100  0 1 0
18.37  47  1 1 1
35.04  20  1 0 2
35.22  33  -1 1 1
42.80  39  0 2 2
42.96  19  2 0 2


For Mg3Fe3P4O16, DFT lattice parameters and positions (PBE+U) gives the calculated powder diffractogram in this record (λ = 1.5418 Å (Cu Kα)).
Neutral-atom scattering factors, no anomalous dispersion.

Cell: 5.177 7.750 8.447 Å, 90.09 90.11 94.29°
Space group P1 (No. 1)
Unique sites:
Mg  0.000  0.000  0.000 x1
Mg  0.092  0.109  0.647 x1
Mg  0.501  0.497  0.502 x1
Fe  0.415  0.380  0.148 x1
Fe  0.589  0.614  0.855 x1
Fe  0.916  0.884  0.355 x1
P  0.035  0.699  0.693 x1
P  0.469  0.798  0.193 x1
P  0.533  0.199  0.805 x1
P  0.970  0.298  0.312 x1
O  0.051  0.238  0.143 x1
O  0.054  0.859  0.582 x1
O  0.184  0.437  0.363 x1
O  0.202  0.878  0.193 x1
O  0.301  0.620  0.693 x1
O  0.312  0.063  0.857 x1
O  0.443  0.259  0.639 x1
O  0.452  0.640  0.080 x1
O  0.550  0.355  0.922 x1
O  0.553  0.742  0.363 x1
O  0.684  0.935  0.139 x1
O  0.702  0.375  0.310 x1
O  0.800  0.120  0.803 x1
O  0.820  0.564  0.638 x1
O  0.952  0.756  0.863 x1
O  0.958  0.144  0.429 x1

Largest 6 diffraction maxima, sorted by position, 5 to 70 degrees two-theta:
2theta  I/Imax  index
19.96  45  1 -1 0
20.16  33  1 0 1
22.59  37  1 -1 1
25.35  100  0 2 1
35.11  27  1 -2 2
36.34  31  1 0 -3


For LiVFe4O8, DFT lattice parameters and positions (PBE+U) gives the calculated powder diffractogram in this record (λ = 1.5418 Å (Cu Kα)).
Neutral-atom scattering factors, no anomalous dispersion.

Cell: 10.361 6.003 5.969 Å, 90.00 124.82 90.00°
Space group C2/m (No. 12)
Unique sites:
Li  0.000  0.000  0.000 x2
V  0.000  0.000  0.500 x2
Fe  0.121  0.500  0.380 x4
Fe  0.250  0.250  0.000 x4
O  0.009  0.238  0.747 x8
O  0.246  0.000  0.756 x4
O  0.248  0.000  0.227 x4

Largest 6 diffraction maxima, sorted by position, 5 to 70 degrees two-theta:
2theta  I/Imax  index
18.21  27  2 0 -1
29.88  60  2 0 -2
34.97  44  2 0 1
35.09  100  0 2 1
61.70  24  2 2 2
62.00  23  6 2 -2


For Cr2NiO4, DFT lattice parameters and positions (PBE+U) gives the calculated powder diffractogram in this record (λ = 1.5418 Å (Cu Kα)).
Neutral-atom scattering factors, no anomalous dispersion.

Cell: 10.209 6.131 5.980 Å, 90.00 125.76 90.00°
Space group C2/m (No. 12)
Unique sites:
Cr  0.000  0.000  0.000 x2
Cr  0.000  0.000  0.500 x2
Cr  0.250  0.250  0.000 x4
Ni  0.119  0.500  0.368 x4
O  0.007  0.220  0.757 x8
O  0.244  0.000  0.769 x4
O  0.245  0.000  0.220 x4

Largest 6 diffraction maxima, sorted by position, 5 to 70 degrees two-theta:
2theta  I/Imax  index
30.02  71  1 1 1
34.62  99  2 2 -1
35.10  100  1 1 -2
35.66  48  3 1 0
35.82  57  2 0 1
62.39  87  2 2 2


For LiCoB2O5, DFT lattice parameters and positions (PBE+U) gives the calculated powder diffractogram in this record (λ = 1.5418 Å (Cu Kα)).
Neutral-atom scattering factors, no anomalous dispersion.

Cell: 10.279 10.363 9.667 Å, 90.00 120.86 90.00°
Space group C2/c (No. 15)
Unique sites:
Li  0.000  0.120  0.250 x4
Li  0.000  0.337  0.750 x4
Co  0.194  0.345  0.148 x8
B  0.068  0.169  0.527 x8
B  0.234  0.497  0.906 x8
O  0.053  0.219  0.112 x8
O  0.112  0.207  0.679 x8
O  0.143  0.074  0.486 x8
O  0.156  0.485  0.244 x8
O  0.191  0.396  0.966 x8

Largest 6 diffraction maxima, sorted by position, 5 to 70 degrees two-theta:
2theta  I/Imax  index
19.99  31  1 1 1
20.17  61  2 0 0
20.53  30  2 0 -2
24.40  100  2 2 -1
26.84  23  2 2 -2
29.74  22  1 1 -3


For CoPO4, DFT lattice parameters and positions (PBE+U) gives the calculated powder diffractogram in this record (λ = 1.5418 Å (Cu Kα)).
Neutral-atom scattering factors, no anomalous dispersion.

Cell: 8.645 6.623 4.759 Å, 90.00 90.00 90.00°
Space group Pnma (No. 62)
Unique sites:
Co  0.000  0.000  0.000 x4
P  0.176  0.250  0.463 x4
O  0.114  0.250  0.768 x4
O  0.120  0.058  0.311 x8
O  0.144  0.750  0.937 x4

Largest 6 diffraction maxima, sorted by position, 5 to 70 degrees two-theta:
2theta  I/Imax  index
21.31  100  1 0 1
25.24  94  1 1 1
34.11  83  2 2 0
34.59  75  1 2 1
36.45  69  3 0 1
51.83  44  2 2 2


For Li3FeCo2O6, DFT lattice parameters and positions (PBE+U) gives the calculated powder diffractogram in this record (λ = 1.5418 Å (Cu Kα)).
Neutral-atom scattering factors, no anomalous dispersion.

Cell: 12.593 2.843 5.756 Å, 90.00 104.03 90.00°
Space group C2/m (No. 12)
Unique sites:
Li  0.000  0.000  0.000 x2
Li  0.170  0.500  0.337 x4
Fe  0.000  0.000  0.500 x2
Co  0.168  0.500  0.835 x4
O  0.008  0.500  0.737 x4
O  0.161  0.000  0.603 x4
O  0.175  0.000  0.067 x4

Largest 6 diffraction maxima, sorted by position, 5 to 70 degrees two-theta:
2theta  I/Imax  index
18.75  100  2 0 -1
36.81  13  4 0 1
37.03  25  1 1 1
38.61  13  3 1 0
44.49  23  6 0 0
44.82  46  1 1 -2


For KBaFeO3, DFT lattice parameters and positions (PBE+U) gives the calculated powder diffractogram in this record (λ = 1.5418 Å (Cu Kα)).
Neutral-atom scattering factors, no anomalous dispersion.

Cell: 5.937 11.726 12.973 Å, 90.00 90.00 90.00°
Space group Cmce (No. 64)
Unique sites:
K  0.000  0.046  0.141 x8
Ba  0.000  0.143  0.582 x8
Fe  0.000  0.230  0.336 x8
O  0.000  0.076  0.377 x8
O  0.000  0.171  0.952 x8
O  0.250  0.228  0.750 x8

Largest 6 diffraction maxima, sorted by position, 5 to 70 degrees two-theta:
2theta  I/Imax  index
18.09  61  1 1 1
25.60  61  0 2 3
28.19  98  1 3 1
30.11  100  2 0 0
30.66  76  1 3 2
32.37  78  1 1 4


> Number 5 is which compound?

LiCoB2O5


Repeat the seventh record exactly.
For Li3FeCo2O6, DFT lattice parameters and positions (PBE+U) gives the calculated powder diffractogram in this record (λ = 1.5418 Å (Cu Kα)).
Neutral-atom scattering factors, no anomalous dispersion.

Cell: 12.593 2.843 5.756 Å, 90.00 104.03 90.00°
Space group C2/m (No. 12)
Unique sites:
Li  0.000  0.000  0.000 x2
Li  0.170  0.500  0.337 x4
Fe  0.000  0.000  0.500 x2
Co  0.168  0.500  0.835 x4
O  0.008  0.500  0.737 x4
O  0.161  0.000  0.603 x4
O  0.175  0.000  0.067 x4

Largest 6 diffraction maxima, sorted by position, 5 to 70 degrees two-theta:
2theta  I/Imax  index
18.75  100  2 0 -1
36.81  13  4 0 1
37.03  25  1 1 1
38.61  13  3 1 0
44.49  23  6 0 0
44.82  46  1 1 -2